1.
Calculated X-ray diffraction stick pattern of Tb3Dy3Y8 for Cu Kα (λ = 1.5418 Å), from a cell relaxed with GGA-PBE.

Principal peaks in the range 2θ = 10–90°, low angle first:
- d = 3.072 Å, 2θ 29.07, I 26.1
- d = 2.995 Å, 2θ 29.83, I 29.3
- d = 2.917 Å, 2θ 30.65, I 29.0
- d = 2.822 Å, 2θ 31.71, I 49.2
- d = 2.811 Å, 2θ 31.84, I 100.0
- d = 2.644 Å, 2θ 33.91, I 44.6
- d = 2.028 Å, 2θ 44.68, I 20.5
- d = 1.627 Å, 2θ 56.57, I 19.3
- d = 1.536 Å, 2θ 60.26, I 12.8
- d = 1.487 Å, 2θ 62.45, I 12.6

```
14
Lattice="-2.8217 5.3949 7.4812 2.8217 -5.3949 7.4812 2.8217 5.3949 -7.4812" Properties=species:S:1:pos:R:3 pbc="T T T"
Tb 0.0000 0.0000 0.0000
Tb 2.8217 0.0000 2.7031
Tb 0.0000 5.3949 4.7781
Dy 2.8217 2.1822 0.0000
Dy 0.0000 0.0000 7.4812
Dy 0.0000 3.2127 7.4812
Y 2.8217 3.6865 -3.3210
Y 2.8217 -1.7098 5.9315
Y 0.0000 1.7084 4.1602
Y 0.0000 3.6851 1.5497
Y 2.8217 1.7098 5.9315
Y 2.8217 3.6865 3.3210
Y 0.0000 7.1047 1.5497
Y 0.0000 1.7084 10.8022
```

---

2.
Calculated X-ray diffraction stick pattern of Tb2Al3Pt4 for Cu Kα (λ = 1.5418 Å), from a cell relaxed with GGA-PBE.

Principal peaks in the range 2θ = 10–90°, low angle first:
- d = 3.421 Å, 2θ 26.05, I 34.0
- d = 3.399 Å, 2θ 26.22, I 48.0
- d = 3.381 Å, 2θ 26.36, I 28.7
- d = 2.676 Å, 2θ 33.48, I 28.4
- d = 2.535 Å, 2θ 35.40, I 100.0
- d = 2.487 Å, 2θ 36.11, I 62.7
- d = 2.401 Å, 2θ 37.45, I 60.2
- d = 2.254 Å, 2θ 39.99, I 87.5
- d = 2.168 Å, 2θ 41.65, I 23.7
- d = 1.562 Å, 2θ 59.17, I 23.0

```
18
Lattice="2.8032 -7.6653 0.0000 2.8032 7.6653 0.0000 0.0000 0.0000 7.5853" Properties=species:S:1:pos:R:3 pbc="T T T"
Tb 2.8032 6.0400 6.8846
Tb 2.8032 1.6253 3.0919
Tb 2.8032 -1.6253 4.4934
Tb 2.8032 -6.0400 0.7007
Al 0.0000 0.0000 3.7927
Al 1.4016 3.5007 5.6890
Al 1.4016 -3.5007 1.8963
Al 2.8032 0.0000 0.0000
Al 4.2049 3.5007 5.6890
Al 4.2049 -3.5007 1.8963
Pt 2.8032 4.8658 3.9987
Pt 1.4016 0.9261 5.6890
Pt 1.4016 -0.9261 1.8963
Pt 2.8032 2.7994 0.2061
Pt 2.8032 -2.7994 7.3793
Pt 4.2049 0.9261 5.6890
Pt 4.2049 -0.9261 1.8963
Pt 2.8032 -4.8658 3.5866
```

---

3.
Calculated X-ray diffraction stick pattern of TlPd3Pb3 for Cu Kα (λ = 1.5418 Å), from a cell relaxed with GGA-PBE.

Principal peaks in the range 2θ = 10–90°, low angle first:
- d = 3.537 Å, 2θ 25.18, I 46.5
- d = 3.335 Å, 2θ 26.73, I 25.8
- d = 2.744 Å, 2θ 32.64, I 89.4
- d = 2.632 Å, 2θ 34.07, I 56.9
- d = 2.455 Å, 2θ 36.60, I 47.3
- d = 2.272 Å, 2θ 39.67, I 100.0
- d = 2.234 Å, 2θ 40.38, I 30.6
- d = 1.978 Å, 2θ 45.88, I 21.9
- d = 1.371 Å, 2θ 68.44, I 23.6
- d = 1.197 Å, 2θ 80.20, I 36.0

```
14
Lattice="4.2530 2.4555 5.3758 -4.2530 2.4555 5.3758 0.0000 -4.9110 5.3758" Properties=species:S:1:pos:R:3 pbc="T T T"
Tl 0.0000 0.0000 2.6066
Tl 0.0000 0.0000 13.5209
Pd -1.5603 -2.5316 7.3814
Pd -2.9726 0.0854 8.7460
Pd -1.4123 2.6170 7.3814
Pd 1.4123 -2.6170 8.7460
Pd 2.9726 -0.0854 7.3814
Pd 1.5603 2.5316 8.7460
Pb -2.0033 0.1905 6.1362
Pb 0.8367 -1.8302 6.1362
Pb -1.1667 -1.6397 9.9913
Pb 1.1667 1.6397 6.1362
Pb -0.8367 1.8302 9.9913
Pb 2.0033 -0.1905 9.9913
```

---

4.
Calculated X-ray diffraction stick pattern of Pm3Al7Ir4 for Cu Kα (λ = 1.5418 Å), from a cell relaxed with GGA-PBE.

Principal peaks in the range 2θ = 10–90°, low angle first:
- d = 3.912 Å, 2θ 22.73, I 61.7
- d = 3.363 Å, 2θ 26.51, I 80.8
- d = 3.313 Å, 2θ 26.91, I 54.9
- d = 3.077 Å, 2θ 29.02, I 52.9
- d = 3.022 Å, 2θ 29.56, I 65.8
- d = 2.590 Å, 2θ 34.63, I 53.3
- d = 2.562 Å, 2θ 35.03, I 100.0
- d = 2.524 Å, 2θ 35.57, I 75.0
- d = 2.507 Å, 2θ 35.81, I 52.0
- d = 2.144 Å, 2θ 42.15, I 74.4

```
14
Lattice="7.8367 -2.1437 0.0000 7.8367 2.1437 0.0000 -5.5518 0.0000 7.8233" Properties=species:S:1:pos:R:3 pbc="T T T"
Pm 0.0000 0.0000 0.0000
Pm 3.1551 0.0000 2.3575
Pm 6.9664 0.0000 5.4658
Al -2.7759 0.0000 3.9117
Al 0.1394 0.0000 3.2967
Al -0.4724 0.0000 7.6317
Al 3.8204 0.0000 5.5603
Al 6.3012 0.0000 2.2630
Al 10.5939 0.0000 0.1916
Al 9.9821 0.0000 4.5266
Ir -2.8951 0.0000 6.5159
Ir 1.3195 0.0000 5.6086
Ir 8.8021 0.0000 2.2147
Ir 13.0166 0.0000 1.3074
```

---

5.
Calculated X-ray diffraction stick pattern of SrLi8Ag4 for Cu Kα (λ = 1.5418 Å), from a cell relaxed with GGA-PBE.

Principal peaks in the range 2θ = 10–90°, low angle first:
- d = 4.740 Å, 2θ 18.72, I 100.0
- d = 3.351 Å, 2θ 26.60, I 89.8
- d = 2.440 Å, 2θ 36.83, I 85.6
- d = 2.370 Å, 2θ 37.97, I 41.2
- d = 2.170 Å, 2θ 41.63, I 30.2
- d = 2.120 Å, 2θ 42.66, I 26.2
- d = 1.700 Å, 2θ 53.93, I 50.3
- d = 1.499 Å, 2θ 61.91, I 16.3
- d = 1.381 Å, 2θ 67.85, I 13.9
- d = 1.193 Å, 2θ 80.48, I 16.0

```
13
Lattice="-4.7397 4.7397 2.8465 4.7397 -4.7397 2.8465 4.7397 4.7397 -2.8465" Properties=species:S:1:pos:R:3 pbc="T T T"
Sr 0.0000 0.0000 0.0000
Li 3.3380 0.0000 0.0000
Li 6.1414 0.0000 0.0000
Li 4.7397 2.5666 0.0000
Li 0.0000 3.3380 0.0000
Li 2.5666 4.7397 0.0000
Li 2.1731 0.0000 2.8465
Li 0.0000 6.1414 0.0000
Li 0.0000 2.1731 2.8465
Ag 2.3698 2.3698 -1.4232
Ag 2.3698 -2.3698 1.4232
Ag -2.3698 2.3698 1.4232
Ag 2.3698 2.3698 1.4232
```

---

> What is the formula in the fourth record?

Pm3Al7Ir4